Calculated X-ray diffraction stick pattern
Compound: YFeW2O8
Radiation: Cu Kα (weighted mean of Kα1 and Kα2)
Structure: the PBE+U geometry in Alexandria
Peak positions follow from Bragg's law for the DFT cell and can differ from measured ones.

Principal peaks in the range 10° ≤ 2θ ≤ 90°, in order of rising 2θ:
- 15.73°, I 41, hkl 0 0 1
- 17.19°, I 66, hkl 0 1 0
- 18.78°, I 51, hkl 0 1 -1
- 26.20°, I 100, hkl 1 0 1
- 27.25°, I 31, hkl 0 1 1
- 27.41°, I 83, hkl -1 1 1
- 29.80°, I 75, hkl 1 1 -1
- 30.32°, I 32, hkl 0 1 -2
- 31.34°, I 67, hkl 1 -2 1
- 34.68°, I 72, hkl 2 -1 0
- 34.78°, I 34, hkl 0 2 0
- 51.62°, I 34, hkl 2 -3 0

abc: 5.1819 5.9572 6.0207
angles: 109.05 90.02 112.25
Atoms (fractional coordinates):
Y  0.0000  0.0000  0.0000
Fe  0.4962  0.0205  0.5909
W  0.2293  0.4853  0.6662
W  0.7442  0.5103  0.3361
O  0.1438  0.6892  0.4676
O  0.2285  0.7338  0.9403
O  0.2551  0.2085  0.7688
O  0.3426  0.3024  0.3328
O  0.6585  0.7230  0.6670
O  0.7423  0.7516  0.2155
O  0.7732  0.2673  0.0685
O  0.8234  0.2869  0.5328